Entry 1:
This entry pairs a crystal structure of CaCo2S5 with its simulated X-ray powder pattern. Radiation: Cu Kα. Structure: the GGA-PBE geometry in the Materials Project.
Intensities are scaled so that the largest is 100.

Top 10 peaks for 10° ≤ 2θ ≤ 90°, in order of rising 2θ:
2θ 15.16, intensity 100
2θ 20.35, intensity 57
2θ 22.26, intensity 47
2θ 25.44, intensity 55
2θ 26.16, intensity 68
2θ 29.52, intensity 39
2θ 30.60, intensity 56
2θ 40.05, intensity 38
2θ 41.30, intensity 38
2θ 43.16, intensity 58

Atomic structure:
Cell lengths 4.1923, 13.1187, 5.8440 Å; angles 90.00, 90.00, 90.00 degrees
Fractional coordinates of all 16 atoms:
Ca (0.2500, 0.2500, 0.1192)
Ca (0.7500, 0.7500, 0.8808)
Co (0.2500, 0.5960, 0.4086)
Co (0.2500, 0.9040, 0.4086)
Co (0.7500, 0.0960, 0.5914)
Co (0.7500, 0.4040, 0.5914)
S (0.2500, 0.0689, 0.4701)
S (0.2500, 0.4311, 0.4701)
S (0.2500, 0.6292, 0.0567)
S (0.2500, 0.7500, 0.5448)
S (0.2500, 0.8708, 0.0567)
S (0.7500, 0.1292, 0.9433)
S (0.7500, 0.2500, 0.4552)
S (0.7500, 0.3708, 0.9433)
S (0.7500, 0.5689, 0.5299)
S (0.7500, 0.9311, 0.5299)

Entry 2:
This entry pairs a crystal structure of CaCoSe2 with its simulated X-ray powder pattern. Radiation: Cu Kα. Structure: the GGA-PBE geometry in the Materials Project.
Intensities are scaled so that the largest is 100.

Top 10 peaks for 10° ≤ 2θ ≤ 90°, in order of rising 2θ:
2θ 17.74, intensity 31
2θ 26.78, intensity 100
2θ 33.59, intensity 11
2θ 40.43, intensity 40
2θ 41.40, intensity 25
2θ 44.47, intensity 11
2θ 46.34, intensity 18
2θ 49.16, intensity 36
2θ 58.50, intensity 13
2θ 59.24, intensity 22

Atomic structure:
Cell lengths 4.4623, 4.4623, 4.9994 Å; angles 90.00, 90.00, 90.00 degrees
Fractional coordinates of all 4 atoms:
Ca (0.0000, 0.0000, 0.0000)
Co (0.5000, 0.5000, 0.5000)
Se (0.0000, 0.5000, 0.6505)
Se (0.5000, 0.0000, 0.3495)

Entry 3:
This entry pairs a crystal structure of CaCo2Si2 with its simulated X-ray powder pattern. Radiation: Cu Kα. Structure: the GGA-PBE geometry in the Materials Project.
Intensities are scaled so that the largest is 100.

Top 10 peaks for 10° ≤ 2θ ≤ 90°, in order of rising 2θ:
2θ 17.90, intensity 47
2θ 35.58, intensity 33
2θ 36.25, intensity 13
2θ 37.26, intensity 100
2θ 46.48, intensity 49
2θ 49.40, intensity 32
2θ 59.88, intensity 13
2θ 65.87, intensity 21
2θ 67.84, intensity 15
2θ 80.03, intensity 18

Atomic structure:
Cell lengths 3.9074, 3.9074, 9.9127 Å; angles 90.00, 90.00, 90.00 degrees
Fractional coordinates of all 10 atoms:
Ca (0.0000, 0.0000, 0.0000)
Ca (0.5000, 0.5000, 0.5000)
Co (0.0000, 0.5000, 0.2500)
Co (0.0000, 0.5000, 0.7500)
Co (0.5000, 0.0000, 0.2500)
Co (0.5000, 0.0000, 0.7500)
Si (0.0000, 0.0000, 0.3683)
Si (0.0000, 0.0000, 0.6317)
Si (0.5000, 0.5000, 0.1317)
Si (0.5000, 0.5000, 0.8683)

Entry 4:
This entry pairs a crystal structure of Ca3Co4Sn13 with its simulated X-ray powder pattern. Radiation: Cu Kα. Structure: the GGA-PBE geometry in the Materials Project.
Intensities are scaled so that the largest is 100.

Top 10 peaks for 10° ≤ 2θ ≤ 90°, in order of rising 2θ:
2θ 29.30, intensity 14
2θ 33.52, intensity 100
2θ 34.82, intensity 34
2θ 37.32, intensity 14
2θ 38.51, intensity 18
2θ 46.13, intensity 25
2θ 55.59, intensity 16
2θ 59.08, intensity 19
2θ 61.61, intensity 11
2θ 68.09, intensity 16

Atomic structure:
Cell lengths 9.6392, 9.6392, 9.6392 Å; angles 90.00, 90.00, 90.00 degrees
Fractional coordinates of all 40 atoms:
Ca (0.0000, 0.2500, 0.5000)
Ca (0.0000, 0.7500, 0.5000)
Ca (0.2500, 0.5000, 0.0000)
Ca (0.5000, 0.0000, 0.2500)
Ca (0.5000, 0.0000, 0.7500)
Ca (0.7500, 0.5000, 0.0000)
Co (0.2500, 0.2500, 0.2500)
Co (0.2500, 0.2500, 0.7500)
Co (0.2500, 0.7500, 0.2500)
Co (0.2500, 0.7500, 0.7500)
Co (0.7500, 0.2500, 0.2500)
Co (0.7500, 0.2500, 0.7500)
Co (0.7500, 0.7500, 0.2500)
Co (0.7500, 0.7500, 0.7500)
Sn (0.0000, 0.0000, 0.0000)
Sn (0.0000, 0.3014, 0.1574)
Sn (0.0000, 0.3014, 0.8426)
Sn (0.0000, 0.6986, 0.1574)
Sn (0.0000, 0.6986, 0.8426)
Sn (0.1574, 0.0000, 0.3014)
Sn (0.1574, 0.0000, 0.6986)
Sn (0.1986, 0.5000, 0.3426)
Sn (0.1986, 0.5000, 0.6574)
Sn (0.3014, 0.1574, 0.0000)
Sn (0.3014, 0.8426, 0.0000)
Sn (0.3426, 0.1986, 0.5000)
Sn (0.3426, 0.8014, 0.5000)
Sn (0.5000, 0.3426, 0.1986)
Sn (0.5000, 0.3426, 0.8014)
Sn (0.5000, 0.5000, 0.5000)
Sn (0.5000, 0.6574, 0.1986)
Sn (0.5000, 0.6574, 0.8014)
Sn (0.6574, 0.1986, 0.5000)
Sn (0.6574, 0.8014, 0.5000)
Sn (0.6986, 0.1574, 0.0000)
Sn (0.6986, 0.8426, 0.0000)
Sn (0.8014, 0.5000, 0.3426)
Sn (0.8014, 0.5000, 0.6574)
Sn (0.8426, 0.0000, 0.3014)
Sn (0.8426, 0.0000, 0.6986)

Entry 5:
This entry pairs a crystal structure of Ca2CoW with its simulated X-ray powder pattern. Radiation: Cu Kα. Structure: the GGA-PBE geometry in the Materials Project.
Intensities are scaled so that the largest is 100.

Top 10 peaks for 10° ≤ 2θ ≤ 90°, in order of rising 2θ:
2θ 22.64, intensity 43
2θ 26.20, intensity 16
2θ 37.39, intensity 100
2θ 44.15, intensity 24
2θ 53.90, intensity 17
2θ 59.20, intensity 10
2θ 67.44, intensity 33
2θ 72.14, intensity 8
2θ 79.73, intensity 10
2θ 84.19, intensity 8

Atomic structure:
Cell lengths 6.8036, 6.8036, 6.8036 Å; angles 90.00, 90.00, 90.00 degrees
Fractional coordinates of all 16 atoms:
Ca (0.0000, 0.0000, 0.0000)
Ca (0.0000, 0.5000, 0.5000)
Ca (0.2500, 0.2500, 0.2500)
Ca (0.2500, 0.7500, 0.7500)
Ca (0.5000, 0.0000, 0.5000)
Ca (0.5000, 0.5000, 0.0000)
Ca (0.7500, 0.2500, 0.7500)
Ca (0.7500, 0.7500, 0.2500)
Co (0.2500, 0.2500, 0.7500)
Co (0.2500, 0.7500, 0.2500)
Co (0.7500, 0.2500, 0.2500)
Co (0.7500, 0.7500, 0.7500)
W (0.0000, 0.0000, 0.5000)
W (0.0000, 0.5000, 0.0000)
W (0.5000, 0.0000, 0.0000)
W (0.5000, 0.5000, 0.5000)

Entry 6:
This entry pairs a crystal structure of CaMg14Cr with its simulated X-ray powder pattern. Radiation: Cu Kα. Structure: the GGA-PBE geometry in the Materials Project.
Intensities are scaled so that the largest is 100.

Top 10 peaks for 10° ≤ 2θ ≤ 90°, in order of rising 2θ:
2θ 15.91, intensity 6
2θ 23.39, intensity 4
2θ 32.14, intensity 25
2θ 34.47, intensity 26
2θ 36.60, intensity 100
2θ 47.84, intensity 15
2θ 57.30, intensity 17
2θ 63.15, intensity 18
2θ 68.61, intensity 18
2θ 69.94, intensity 13

Atomic structure:
Cell lengths 6.4314, 6.4314, 10.4080 Å; angles 90.00, 90.00, 120.00 degrees
Fractional coordinates of all 16 atoms:
Ca (0.0000, 0.0000, 0.0000)
Mg (0.0001, 0.5001, 0.5000)
Mg (0.0068, 0.5034, 0.0000)
Mg (0.1665, 0.3331, 0.2602)
Mg (0.1665, 0.3331, 0.7398)
Mg (0.1665, 0.8335, 0.2602)
Mg (0.1665, 0.8335, 0.7398)
Mg (0.4966, 0.5034, 0.0000)
Mg (0.4966, 0.9932, 0.0000)
Mg (0.4999, 0.9999, 0.5000)
Mg (0.4999, 0.5001, 0.5000)
Mg (0.6667, 0.3333, 0.2449)
Mg (0.6667, 0.3333, 0.7551)
Mg (0.6669, 0.8335, 0.2602)
Mg (0.6669, 0.8335, 0.7398)
Cr (0.0000, 0.0000, 0.5000)

Entry 7:
This entry pairs a crystal structure of CaMg14Cr with its simulated X-ray powder pattern. Radiation: Cu Kα. Structure: the GGA-PBE geometry in the Materials Project.
Intensities are scaled so that the largest is 100.

Top 10 peaks for 10° ≤ 2θ ≤ 90°, in order of rising 2θ:
2θ 31.93, intensity 12
2θ 32.07, intensity 25
2θ 34.44, intensity 39
2θ 36.40, intensity 52
2θ 36.53, intensity 100
2θ 47.77, intensity 16
2θ 56.99, intensity 17
2θ 63.03, intensity 27
2θ 68.31, intensity 19
2θ 69.77, intensity 13

Atomic structure:
Cell lengths 10.4177, 6.4638, 6.4638 Å; angles 59.71, 90.00, 90.00 degrees
Fractional coordinates of all 16 atoms:
Ca (0.0000, 0.0000, 0.0000)
Mg (0.0000, 0.0071, 0.4966)
Mg (0.0000, 0.4966, 0.0071)
Mg (0.2415, 0.6627, 0.6627)
Mg (0.2529, 0.1719, 0.6585)
Mg (0.2529, 0.6585, 0.1719)
Mg (0.2589, 0.1674, 0.1674)
Mg (0.5000, 0.4994, 0.4994)
Mg (0.5000, 0.5003, 0.9981)
Mg (0.5000, 0.9981, 0.5003)
Mg (0.5000, 0.9988, 0.9988)
Mg (0.7411, 0.1674, 0.1674)
Mg (0.7471, 0.1719, 0.6585)
Mg (0.7471, 0.6585, 0.1719)
Mg (0.7585, 0.6627, 0.6627)
Cr (0.0000, 0.4970, 0.4970)

Entry 8:
This entry pairs a crystal structure of CaMg6Cr with its simulated X-ray powder pattern. Radiation: Cu Kα. Structure: the GGA-PBE geometry in the Materials Project.
Intensities are scaled so that the largest is 100.

Top 10 peaks for 10° ≤ 2θ ≤ 90°, in order of rising 2θ:
2θ 15.69, intensity 12
2θ 23.32, intensity 6
2θ 31.68, intensity 24
2θ 34.69, intensity 25
2θ 36.24, intensity 100
2θ 47.68, intensity 15
2θ 56.44, intensity 17
2θ 63.19, intensity 18
2θ 67.97, intensity 18
2θ 68.94, intensity 13

Atomic structure:
Cell lengths 5.1724, 6.5264, 11.2877 Å; angles 90.00, 90.00, 90.00 degrees
Fractional coordinates of all 16 atoms:
Ca (0.0000, 0.0000, 0.0000)
Ca (0.0000, 0.5000, 0.5000)
Mg (0.0000, 0.0000, 0.5059)
Mg (0.0000, 0.2420, 0.7538)
Mg (0.0000, 0.2580, 0.2538)
Mg (0.0000, 0.5000, 0.0059)
Mg (0.0000, 0.7420, 0.2538)
Mg (0.0000, 0.7580, 0.7538)
Mg (0.5000, 0.0000, 0.3367)
Mg (0.5000, 0.2441, 0.5897)
Mg (0.5000, 0.2559, 0.0897)
Mg (0.5000, 0.5000, 0.8367)
Mg (0.5000, 0.7441, 0.0897)
Mg (0.5000, 0.7559, 0.5897)
Cr (0.5000, 0.0000, 0.8333)
Cr (0.5000, 0.5000, 0.3333)